Starting from a crystal structure in the Materials Project, relaxed with PBE, the PXRD pattern of Np2Te3 was simulated for Cu Ka.
Kinematic intensities with the Lorentz-polarization factor, no thermal factor.

Structure:
```
Np2Te3
1.0
-4.6304 4.6304 14.0095
4.6304 -4.6304 14.0095
4.6304 4.6304 -14.0095
Np Te
16 24
Direct
0.0441 0.4193 0.8804
0.1677 0.1677 0.0000
0.1693 0.2941 0.3804
0.2110 0.8307 0.1248
0.2551 0.1250 0.6301
0.3750 0.7449 0.8699
0.4949 0.6250 0.3699
0.5390 0.1637 0.1196
0.5807 0.4610 0.6248
0.5823 0.0823 0.5000
0.7059 0.0863 0.8752
0.8323 0.8323 0.0000
0.8363 0.9559 0.3752
0.8750 0.5051 0.1301
0.9137 0.7890 0.6196
0.9177 0.4177 0.5000
0.0099 0.1068 0.2505
0.0735 0.8248 0.6003
0.1752 0.7755 0.2487
0.1882 0.0913 0.7475
0.1906 0.5938 0.7525
0.2232 0.4745 0.8997
0.2245 0.4732 0.3997
0.2406 0.9901 0.0969
0.3438 0.4406 0.2525
0.4062 0.1587 0.5969
0.5094 0.1062 0.2495
0.5255 0.4252 0.7487
0.5268 0.9265 0.7513
0.5594 0.8118 0.9031
0.5618 0.8094 0.4031
0.5748 0.3235 0.1003
0.6765 0.7768 0.2513
0.7401 0.4906 0.5969
0.8413 0.4382 0.2475
0.8562 0.7594 0.7495
0.8568 0.2599 0.7505
0.8932 0.1438 0.9031
0.8938 0.1432 0.4031
0.9087 0.6562 0.0969
```

Peak list (10 most intense, 15 to 90 degrees two-theta, by angle)
d [Å]  2θ/deg  I (rel.)
3.802  23.4  14
3.786  23.5  18
2.951  30.3  46
2.930  30.5  100
2.489  36.1  42
2.478  36.2  61
2.073  43.7  24
1.980  45.8  23
1.893  48.1  13
1.503  61.7  24

Starting from a crystal structure in the Materials Project, relaxed with PBE, the PXRD pattern of Tl9SnTe6 was simulated for Cu Ka.
Kinematic intensities with the Lorentz-polarization factor, no thermal factor.

Structure:
```
Tl9SnTe6
1.0
-4.5110 4.5110 6.6308
4.5110 -4.5110 6.6308
4.5110 4.5110 -6.6308
Tl Sn Te
9 1 6
Direct
0.0000 0.0000 0.0000
0.0085 0.8027 0.4991
0.1973 0.6964 0.2058
0.3036 0.5094 0.5009
0.4906 0.9915 0.7942
0.5094 0.0085 0.2058
0.6964 0.4906 0.4991
0.8027 0.3036 0.7942
0.9915 0.1973 0.5009
0.5000 0.5000 0.0000
0.1710 0.6495 0.8205
0.2603 0.2603 0.0000
0.3505 0.1710 0.5216
0.6495 0.8290 0.4784
0.7397 0.7397 0.0000
0.8290 0.3505 0.1795
```

Peak list (10 most intense, 15 to 90 degrees two-theta, by angle)
d [Å]  2θ/deg  I (rel.)
3.860  23.0  8
2.980  30.0  100
2.942  30.4  13
2.853  31.4  53
2.210  40.8  9
2.017  44.9  8
1.961  46.3  12
1.865  48.8  8
1.747  52.4  12
1.567  59.0  22

Starting from a crystal structure in the Materials Project, relaxed with PBE, the PXRD pattern of CuAu2C4N4Cl4O6 was simulated for Cu Ka.
Kinematic intensities with the Lorentz-polarization factor, no thermal factor.

Structure:
```
CuAu2C4N4Cl4O6
1.0
4.7437 0.0000 0.0000
-1.3421 9.3410 0.0000
-0.6137 -0.3541 9.7007
Cu Au C N Cl O
1 2 4 4 4 6
Direct
0.0000 0.0000 0.0000
0.5000 0.5000 0.0000
0.5000 0.5000 0.5000
0.2845 0.3021 0.9745
0.3533 0.6356 0.3649
0.6467 0.3644 0.6351
0.7155 0.6979 0.0255
0.1618 0.1861 0.9715
0.2861 0.7220 0.2904
0.7139 0.2780 0.7096
0.8382 0.8139 0.0285
0.2094 0.5850 0.8273
0.2123 0.3027 0.3970
0.7877 0.6973 0.6030
0.7906 0.4150 0.1727
0.1264 0.0241 0.5021
0.3811 0.9912 0.1523
0.3867 0.9296 0.8499
0.6133 0.0704 0.1501
0.6189 0.0088 0.8477
0.8736 0.9759 0.4979
```

Peak list (10 most intense, 15 to 90 degrees two-theta, by angle)
d [Å]  2θ/deg  I (rel.)
4.850  18.3  78
4.673  19.0  100
4.452  19.9  60
3.964  22.4  35
3.490  25.5  32
3.426  26.0  25
3.359  26.5  83
3.303  27.0  28
3.206  27.8  33
3.185  28.0  26

Starting from a crystal structure in the Materials Project, relaxed with PBE, the PXRD pattern of FeAsRh was simulated for Cu Ka.
Kinematic intensities with the Lorentz-polarization factor, no thermal factor.

Structure:
```
FeAsRh
1.0
3.6903 0.0000 0.0000
0.0000 5.4938 3.1832
0.0000 -5.4938 3.1832
Fe As Rh
3 3 3
Direct
0.0000 0.0000 0.0000
0.0000 0.2073 0.6042
0.0000 0.6042 0.2073
0.0000 0.6036 0.6036
0.5000 0.2695 0.9367
0.5000 0.9367 0.2695
0.5000 0.3404 0.3404
0.5000 0.6035 0.8672
0.5000 0.8672 0.6035
```

Peak list (10 most intense, 15 to 90 degrees two-theta, by angle)
d [Å]  2θ/deg  I (rel.)
3.690  24.1  19
2.408  37.3  100
2.206  40.9  73
2.082  43.5  27
1.845  49.4  30
1.836  49.7  27
1.813  50.3  29
1.810  50.4  14
1.302  72.6  17
1.194  80.5  19

Starting from a crystal structure in the Materials Project, relaxed with PBE, the PXRD pattern of TbU3Co8Ge8 was simulated for Cu Ka.
Kinematic intensities with the Lorentz-polarization factor, no thermal factor.

Structure:
```
TbU3Co8Ge8
1.0
4.0170 0.0000 0.0000
0.0000 4.0170 0.0000
0.0000 0.0000 19.6784
Tb U Co Ge
1 3 8 8
Direct
0.0000 0.0000 0.0000
0.0000 0.0000 0.5000
0.5000 0.5000 0.2510
0.5000 0.5000 0.7490
0.0000 0.5000 0.1271
0.0000 0.5000 0.3748
0.0000 0.5000 0.6252
0.0000 0.5000 0.8729
0.5000 0.0000 0.1271
0.5000 0.0000 0.3748
0.5000 0.0000 0.6252
0.5000 0.0000 0.8729
0.0000 0.0000 0.1865
0.0000 0.0000 0.3142
0.0000 0.0000 0.6858
0.0000 0.0000 0.8135
0.5000 0.5000 0.0649
0.5000 0.5000 0.4362
0.5000 0.5000 0.5638
0.5000 0.5000 0.9351
```

Peak list (10 most intense, 15 to 90 degrees two-theta, by angle)
d [Å]  2θ/deg  I (rel.)
3.719  23.9  27
2.840  31.5  35
2.541  35.3  98
2.460  36.5  100
2.008  45.1  55
1.767  51.7  37
1.576  58.6  46
1.420  65.8  37
1.327  71.1  26
1.230  77.6  29

Starting from a crystal structure in the Materials Project, relaxed with PBE, the PXRD pattern of BaZnSn4O8 was simulated for Cu Ka.
Kinematic intensities with the Lorentz-polarization factor, no thermal factor.

Structure:
```
BaZnSn4O8
1.0
6.0074 0.0000 0.0000
-3.0037 5.2026 0.0000
0.0000 0.0000 6.9303
Ba Zn Sn O
1 1 4 8
Direct
0.0000 0.0000 0.0000
0.0000 0.0000 0.5000
0.3333 0.6667 0.2918
0.3333 0.6667 0.7082
0.6667 0.3333 0.2918
0.6667 0.3333 0.7082
0.0000 0.2915 0.3030
0.0000 0.7085 0.6970
0.2915 0.0000 0.3030
0.2915 0.2915 0.6970
0.3333 0.6667 0.0000
0.6667 0.3333 0.0000
0.7085 0.0000 0.6970
0.7085 0.7085 0.3030
```

Peak list (10 most intense, 15 to 90 degrees two-theta, by angle)
d [Å]  2θ/deg  I (rel.)
3.004  29.7  100
2.884  31.0  58
2.080  43.5  27
1.831  49.8  17
1.734  52.8  31
1.710  53.6  28
1.501  61.8  25
1.387  67.5  12
1.332  70.7  11
1.135  85.6  17

Starting from a crystal structure in the Materials Project, relaxed with PBE, the PXRD pattern of Na6Ca3U2O12 was simulated for Cu Ka.
Kinematic intensities with the Lorentz-polarization factor, no thermal factor.

Structure:
```
Na6Ca3U2O12
1.0
3.3823 -10.2325 0.0000
3.3823 10.2325 0.0000
-3.3630 0.0000 4.8638
Na Ca U O
6 3 2 12
Direct
0.0000 0.0000 0.0000
0.0874 0.9126 0.5000
0.2374 0.7626 0.5000
0.6689 0.3311 0.0000
0.8332 0.1668 0.0000
0.9203 0.0797 0.5000
0.4134 0.5866 0.5000
0.4993 0.5007 0.0000
0.7475 0.2525 0.5000
0.3297 0.6703 0.0000
0.5834 0.4166 0.5000
0.0258 0.4971 0.9828
0.1131 0.4501 0.5617
0.1981 0.3841 0.0147
0.2868 0.2778 0.5093
0.3772 0.2260 0.0805
0.4596 0.1428 0.5284
0.5029 0.9742 0.0172
0.5499 0.8869 0.4383
0.6159 0.8019 0.9853
0.7222 0.7132 0.4907
0.7740 0.6228 0.9195
0.8572 0.5404 0.4716
```

Peak list (10 most intense, 15 to 90 degrees two-theta, by angle)
d [Å]  2θ/deg  I (rel.)
5.362  16.5  100
5.116  17.3  35
4.393  20.2  50
4.307  20.6  43
3.294  27.1  29
3.211  27.8  21
2.793  32.1  28
2.433  36.9  35
2.402  37.4  51
1.706  53.7  24

Starting from a crystal structure in the Materials Project, relaxed with PBE, the PXRD pattern of TbSe was simulated for Cu Ka.
Kinematic intensities with the Lorentz-polarization factor, no thermal factor.

Structure:
```
TbSe
1.0
4.9020 0.0000 0.0000
-2.4510 4.2453 0.0000
0.0000 0.0000 5.7268
Tb Se
2 2
Direct
0.3333 0.6667 0.2500
0.6667 0.3333 0.7500
0.3333 0.6667 0.7500
0.6667 0.3333 0.2500
```

Peak list (10 most intense, 15 to 90 degrees two-theta, by angle)
d [Å]  2θ/deg  I (rel.)
4.245  20.9  100
3.410  26.1  36
2.863  31.2  49
2.451  36.7  95
2.374  37.9  43
1.862  48.9  83
1.415  66.0  17
1.269  74.8  24
1.236  77.2  22
1.127  86.4  17

Starting from a crystal structure in the Materials Project, relaxed with PBE, the PXRD pattern of K4CdP2 was simulated for Cu Ka.
Kinematic intensities with the Lorentz-polarization factor, no thermal factor.

Structure:
```
K4CdP2
1.0
2.8625 1.6527 9.1140
-2.8625 1.6527 9.1140
0.0000 -3.3054 9.1140
K Cd P
4 1 2
Direct
0.1074 0.1074 0.1074
0.2921 0.2921 0.2921
0.7079 0.7079 0.7079
0.8926 0.8926 0.8926
0.5000 0.5000 0.5000
0.4114 0.4114 0.4114
0.5886 0.5886 0.5886
```

Peak list (10 most intense, 15 to 90 degrees two-theta, by angle)
d [Å]  2θ/deg  I (rel.)
4.878  18.2  53
4.661  19.0  23
3.673  24.2  78
2.863  31.2  100
2.394  37.6  48
2.258  39.9  20
1.837  49.6  20
1.773  51.6  18
1.653  55.6  17
1.546  59.8  22

Starting from a crystal structure in the Materials Project, relaxed with PBE, the PXRD pattern of Ba2ZnBi2 was simulated for Cu Ka.
Kinematic intensities with the Lorentz-polarization factor, no thermal factor.

Structure:
```
Ba2ZnBi2
1.0
-3.7050 7.2857 3.6169
3.7050 -7.2857 3.6169
3.7050 7.2857 -3.6169
Ba Zn Bi
4 2 4
Direct
0.1348 0.2083 0.3431
0.3652 0.7083 0.0735
0.6348 0.2917 0.9265
0.8652 0.7917 0.6569
0.2500 0.7500 0.5000
0.7500 0.2500 0.5000
0.1133 0.7099 0.8231
0.3867 0.2099 0.5966
0.6133 0.7901 0.4034
0.8867 0.2901 0.1769
```

Peak list (10 most intense, 15 to 90 degrees two-theta, by angle)
d [Å]  2θ/deg  I (rel.)
3.705  24.0  66
3.643  24.4  80
3.617  24.6  85
3.216  27.7  37
2.728  32.8  27
2.598  34.5  81
2.588  34.7  86
2.567  35.0  100
2.110  42.9  54
1.484  62.6  29

Starting from a crystal structure in the Materials Project, relaxed with PBE, the PXRD pattern of Ti5Mn7 was simulated for Cu Ka.
Kinematic intensities with the Lorentz-polarization factor, no thermal factor.

Structure:
```
Ti5Mn7
1.0
4.8041 0.0000 0.0000
-2.4021 4.1605 0.0000
0.0000 0.0000 7.9092
Ti Mn
5 7
Direct
0.0000 0.0000 0.0000
0.3333 0.6667 0.5600
0.3333 0.6667 0.9294
0.6667 0.3333 0.0706
0.6667 0.3333 0.4400
0.0000 0.0000 0.5000
0.1733 0.3466 0.2571
0.1733 0.8267 0.2571
0.3466 0.1733 0.7429
0.6534 0.8267 0.2571
0.8267 0.1733 0.7429
0.8267 0.6534 0.7429
```

Peak list (10 most intense, 15 to 90 degrees two-theta, by angle)
d [Å]  2θ/deg  I (rel.)
2.402  37.4  23
2.227  40.5  74
2.053  44.1  99
2.012  45.1  100
1.977  45.9  22
1.841  49.5  25
1.351  69.6  20
1.309  72.2  20
1.259  75.5  27
1.201  79.9  24

Starting from a crystal structure in the Materials Project, relaxed with PBE, the PXRD pattern of Fe2CuGe2 was simulated for Cu Ka.
Kinematic intensities with the Lorentz-polarization factor, no thermal factor.

Structure:
```
Fe2CuGe2
1.0
4.9545 0.0000 0.0000
0.0000 3.9706 0.0000
0.0000 0.0000 6.7787
Fe Cu Ge
4 2 4
Direct
0.0000 0.0000 0.0000
0.2500 0.0000 0.3407
0.5000 0.0000 0.0000
0.7500 0.0000 0.6593
0.0000 0.5000 0.5000
0.5000 0.5000 0.5000
0.2500 0.0000 0.6931
0.2500 0.5000 0.1244
0.7500 0.0000 0.3069
0.7500 0.5000 0.8756
```

Peak list (10 most intense, 15 to 90 degrees two-theta, by angle)
d [Å]  2θ/deg  I (rel.)
2.818  31.8  26
2.578  34.8  16
2.287  39.4  16
2.007  45.2  100
2.000  45.3  38
1.985  45.7  48
1.964  46.2  76
1.409  66.3  22
1.150  84.2  15
1.143  84.8  13

Please write out number 5 again, unchanged.
Starting from a crystal structure in the Materials Project, relaxed with PBE, the PXRD pattern of TbU3Co8Ge8 was simulated for Cu Ka.
Kinematic intensities with the Lorentz-polarization factor, no thermal factor.

Structure:
```
TbU3Co8Ge8
1.0
4.0170 0.0000 0.0000
0.0000 4.0170 0.0000
0.0000 0.0000 19.6784
Tb U Co Ge
1 3 8 8
Direct
0.0000 0.0000 0.0000
0.0000 0.0000 0.5000
0.5000 0.5000 0.2510
0.5000 0.5000 0.7490
0.0000 0.5000 0.1271
0.0000 0.5000 0.3748
0.0000 0.5000 0.6252
0.0000 0.5000 0.8729
0.5000 0.0000 0.1271
0.5000 0.0000 0.3748
0.5000 0.0000 0.6252
0.5000 0.0000 0.8729
0.0000 0.0000 0.1865
0.0000 0.0000 0.3142
0.0000 0.0000 0.6858
0.0000 0.0000 0.8135
0.5000 0.5000 0.0649
0.5000 0.5000 0.4362
0.5000 0.5000 0.5638
0.5000 0.5000 0.9351
```

Peak list (10 most intense, 15 to 90 degrees two-theta, by angle)
d [Å]  2θ/deg  I (rel.)
3.719  23.9  27
2.840  31.5  35
2.541  35.3  98
2.460  36.5  100
2.008  45.1  55
1.767  51.7  37
1.576  58.6  46
1.420  65.8  37
1.327  71.1  26
1.230  77.6  29